# Ac2TmMo3O12
Calculated X-ray diffraction stick pattern, copper Kα. Input: a DFT-relaxed cell (PBE+U, Alexandria).
Kinematic intensities with the Lorentz-polarization factor, no thermal factor.

Principal peaks in the range 10° ≤ 2θ ≤ 80°, in order of rising 2θ:
2θ = 24.2°, d 3.678, I = 62
2θ = 26.4°, d 3.380, I = 31
2θ = 28.6°, d 3.124, I = 49
2θ = 29.5°, d 3.025, I = 100
2θ = 30.2°, d 2.958, I = 35
2θ = 31.4°, d 2.853, I = 52
2θ = 46.0°, d 1.972, I = 31
2θ = 47.3°, d 1.922, I = 39
2θ = 49.6°, d 1.839, I = 45
2θ = 54.3°, d 1.690, I = 25

Crystal structure
a b c (Å): 6.8055 6.8055 6.8055
angles (deg): 65.43 65.43 65.43
Element x y z (fractional)
Ac1 0.1161 0.1161 0.1161
Ac2 0.8839 0.8839 0.8839
Tm1 0.5000 0.5000 0.5000
Mo1 0.0000 0.5000 0.5000
Mo2 0.5000 0.0000 0.5000
Mo3 0.5000 0.5000 0.0000
O1 0.0697 0.6444 0.6444
O2 0.2273 0.2274 0.6330
O3 0.2273 0.6330 0.2273
O4 0.3556 0.3556 0.9303
O5 0.3556 0.9303 0.3556
O6 0.3670 0.7727 0.7726
O7 0.6330 0.2273 0.2273
O8 0.6444 0.0697 0.6444
O9 0.6444 0.6444 0.0697
O10 0.7727 0.3670 0.7727
O11 0.7727 0.7727 0.3670
O12 0.9303 0.3556 0.3556